For VP3O9, a DFT-relaxed cell (GGA+U, Alexandria) gives the simulated XRD peak list in this record (Cu Kα (λ = 1.5418 Å)).
Peak positions follow from Bragg's law for the DFT cell and can differ from measured ones.

Crystal structure
Lattice parameters (Å, degrees): 7.491 7.491 9.631 122.56 122.56 51.97
Atoms (fractional coordinates):
V  0.240  0.760  0.500
V  0.760  0.240  0.000
P  0.199  0.313  0.763
P  0.313  0.199  0.263
P  0.553  0.728  0.326
P  0.728  0.553  0.826
P  0.760  0.962  0.174
P  0.962  0.760  0.674
O  0.004  0.446  0.855
O  0.089  0.844  0.663
O  0.108  0.173  0.104
O  0.149  0.504  0.702
O  0.173  0.108  0.604
O  0.266  0.432  0.405
O  0.383  0.694  0.336
O  0.432  0.266  0.905
O  0.446  0.004  0.355
O  0.504  0.149  0.202
O  0.576  0.633  0.667
O  0.633  0.576  0.167
O  0.687  0.783  0.991
O  0.694  0.383  0.836
O  0.783  0.687  0.491
O  0.842  0.919  0.812
O  0.844  0.089  0.163
O  0.919  0.842  0.312

Largest 10 diffraction maxima, sorted by position, 2θ from 15° to 90°:
d_spacing	I (rel.)
5.405	9
3.984	100
3.773	10
3.504	51
3.341	9
3.154	14
2.860	14
2.803	14
2.489	10
2.282	8

For VP2O7, a DFT-relaxed cell (GGA+U, Alexandria) gives the simulated XRD peak list in this record (Cu Kα (λ = 1.5418 Å)).
Peak positions follow from Bragg's law for the DFT cell and can differ from measured ones.

Crystal structure
Lattice parameters (Å, degrees): 8.240 8.240 8.240 93.06 93.06 153.27
Atoms (fractional coordinates):
V  0.000  0.000  0.000
V  0.750  0.250  0.500
P  0.031  0.625  0.906
P  0.375  0.281  0.406
P  0.719  0.125  0.094
P  0.875  0.969  0.594
O  0.103  0.037  0.242
O  0.140  0.897  0.934
O  0.191  0.125  0.566
O  0.250  0.750  0.500
O  0.375  0.809  0.934
O  0.500  0.500  0.000
O  0.559  0.625  0.434
O  0.610  0.044  0.258
O  0.647  0.390  0.434
O  0.787  0.353  0.742
O  0.794  0.860  0.758
O  0.875  0.441  0.066
O  0.956  0.213  0.566
O  0.963  0.206  0.066

Largest 10 diffraction maxima, sorted by position, 2θ from 15° to 90°:
d_spacing	I (rel.)
4.009	100
3.611	58
3.585	29
3.046	29
2.535	20
2.425	43
1.949	18
1.853	15
1.572	18
1.361	11